This entry pairs a crystal structure of CaBi3PbWClO8 with its theoretical powder diffraction line list. Radiation: λ = 1.5418 Å (Cu Kα). Structure: a crystal structure in Alexandria, relaxed with GGA+U.
Intensities are scaled so that the largest is 100.

Structure:
```
CaBi3PbWClO8
1.0
3.9567 0.0000 0.0000
0.0000 4.1030 0.0000
0.0000 0.0000 17.5686
Ca Bi Pb W Cl O
1 3 1 1 1 8
direct
0.0000 0.0000 0.0000
0.0000 0.5000 0.6598
0.5000 0.0000 0.2379
0.5000 0.0000 0.8149
0.0000 0.5000 0.3768
0.5000 0.0000 0.5445
0.0000 0.5000 0.1006
0.0000 0.0000 0.2966
0.0000 0.0000 0.5635
0.0000 0.0000 0.8809
0.5000 0.0000 0.4401
0.5000 0.0000 0.6618
0.5000 0.5000 0.2925
0.5000 0.5000 0.5623
0.5000 0.5000 0.7587
```

Largest 12 diffraction maxima, most intense first, 10° ≤ 2θ ≤ 80°:
2θ 27.20, 3.279 Å, intensity 100; 2θ 26.53, 3.360 Å, intensity 98; 2θ 31.41, 2.848 Å, intensity 91; 2θ 29.80, 2.998 Å, intensity 68; 2θ 48.34, 1.883 Å, intensity 68; 2θ 30.41, 2.940 Å, intensity 64; 2θ 10.07, 8.784 Å, intensity 37; 2θ 52.63, 1.739 Å, intensity 35; 2θ 44.15, 2.052 Å, intensity 30; 2θ 35.78, 2.510 Å, intensity 30; 2θ 53.77, 1.705 Å, intensity 29; 2θ 54.55, 1.682 Å, intensity 28